The following is a simulated powder diffraction line list of Ba3NiSb2O9. It was derived from a PBE+U-relaxed structure, using CuKα.
Neutral-atom scattering factors, no anomalous dispersion.

```
data_Ba3NiSb2O9
_chemical_formula_sum 'Ba6 Ni2 Sb4 O18'
_space_group_name_H-M_alt 'P 63/m m c'
_space_group_IT_number 194
_space_group_name_Hall '-P 6c 2c'
_cell_length_a 5.9202
_cell_length_b 5.9202
_cell_length_c 14.6418
_cell_angle_alpha 90.00
_cell_angle_beta 90.00
_cell_angle_gamma 120.00
loop_
_atom_site_label
_atom_site_type_symbol
_atom_site_fract_x
_atom_site_fract_y
_atom_site_fract_z
_atom_site_occupancy
Ba1 Ba 0.0000 0.0000 0.2500 1
Ba2 Ba 0.3333 0.6667 0.0866 1
Ni1 Ni 0.0000 0.0000 0.0000 1
Sb1 Sb 0.3333 0.6667 0.6517 1
O1 O 0.0362 0.5181 0.7500 1
O2 O 0.1687 0.3374 0.5838 1
```

Largest 8 diffraction maxima, most intense first, 10° ≤ 2θ ≤ 80°:
two_theta  I_rel  index
30.2  100  1 1 0
30.0  56  1 0 4
43.1  33  2 0 4
35.3  24  1 0 5
53.5  22  2 1 4
53.6  20  3 0 0
62.8  19  2 2 0
25.2  16  1 0 3